1.
Simulated powder XRD pattern
Compound: Ac2PbAu3
Radiation: a wavelength of 1.5418 Å
Structure: DFT lattice parameters and positions (PBE)
Peak positions follow from Bragg's law for the DFT cell and can differ from measured ones.

Structural model:
```
Ac2PbAu3
1.0
0.0000 4.9136 8.5540
4.0429 0.0000 8.5540
4.0429 4.9136 0.0000
Ac Pb Au
4 2 6
Direct
0.2362 0.7638 0.7638
0.2500 0.2500 0.2500
0.7500 0.7500 0.7500
0.7638 0.2362 0.2362
0.3357 0.3357 0.6643
0.6643 0.6643 0.3357
0.1643 0.6717 0.3283
0.1663 0.1663 0.8337
0.3283 0.8357 0.1643
0.6717 0.1643 0.8357
0.8337 0.8337 0.1663
0.8357 0.3283 0.6717
```

Largest 6 diffraction maxima, low angle first, 10° ≤ 2θ ≤ 80°:
30.46 deg, rel. 100
36.43 deg, rel. 46
36.58 deg, rel. 23
48.29 deg, rel. 19
59.12 deg, rel. 34
61.89 deg, rel. 18

---

2.
Simulated powder XRD pattern
Compound: RbTiAs2O8
Radiation: a wavelength of 1.5418 Å
Structure: DFT lattice parameters and positions (PBE)
Peak positions follow from Bragg's law for the DFT cell and can differ from measured ones.

Structural model:
```
RbTiAs2O8
1.0
2.5171 1.4532 9.3413
-2.5171 1.4532 9.3413
0.0000 -2.9065 9.3413
Rb Ti As O
1 1 2 8
Direct
0.0000 0.0000 0.0000
0.5000 0.5000 0.5000
0.2331 0.2331 0.2331
0.7669 0.7669 0.7669
0.1335 0.4963 0.7370
0.2630 0.5037 0.8665
0.2929 0.2929 0.2929
0.4963 0.7370 0.1336
0.5037 0.8665 0.2630
0.7071 0.7071 0.7071
0.7370 0.1336 0.4963
0.8664 0.2630 0.5037
```

Largest 6 diffraction maxima, low angle first, 10° ≤ 2θ ≤ 80°:
24.04 deg, rel. 100
28.67 deg, rel. 11
32.80 deg, rel. 19
35.67 deg, rel. 31
43.48 deg, rel. 14
57.45 deg, rel. 15

---

3.
Simulated powder XRD pattern
Compound: Rb2OsPtF6
Radiation: a wavelength of 1.5418 Å
Structure: DFT lattice parameters and positions (PBE)
Peak positions follow from Bragg's law for the DFT cell and can differ from measured ones.

Structural model:
```
Rb2OsPtF6
1.0
-3.5578 3.5578 4.0408
3.5578 -3.5578 4.0408
3.5578 3.5578 -4.0408
Rb Os Pt F
2 1 1 6
Direct
0.2500 0.7500 0.5000
0.7500 0.2500 0.5000
0.0000 0.0000 0.0000
0.5000 0.5000 0.0000
0.1969 0.1969 0.3938
0.1969 0.8031 0.0000
0.2503 0.2503 0.0000
0.7497 0.7497 0.0000
0.8031 0.1969 0.0000
0.8031 0.8031 0.6062
```

Largest 6 diffraction maxima, low angle first, 10° ≤ 2θ ≤ 80°:
17.63 deg, rel. 37
25.03 deg, rel. 70
28.33 deg, rel. 100
35.69 deg, rel. 41
46.18 deg, rel. 48
52.05 deg, rel. 19